This entry pairs a crystal structure of DyPbF4 with its computed PXRD pattern. Radiation: Cu Ka. Structure: a crystal structure in OQMD, relaxed with PBE.

Atomic structure:
Unit cell a=3.8613 b=3.8613 c=5.9799 alpha=90.00 beta=90.00 gamma=90.00
Space group P4/mmm (No. 123)
Unique sites:
Dy  0.0000  0.0000  0.0000
Pb  0.5000  0.5000  0.5000
F  0.0000  0.5000  0.1974

Principal peaks in the range 2θ = 10–80°, most intense first:
- (1 0 1), 27.50 deg, intensity 100
- (1 1 2), 44.96 deg, intensity 36
- (2 1 1), 55.38 deg, intensity 29
- (1 1 0), 32.80 deg, intensity 19
- (1 0 3), 51.60 deg, intensity 18
- (2 0 0), 47.07 deg, intensity 17


This entry pairs a crystal structure of Ag2H12SN4O4 with its computed PXRD pattern. Radiation: Cu Ka. Structure: a crystal structure in OQMD, relaxed with PBE.

Atomic structure:
Unit cell a=8.2783 b=8.2783 c=6.2260 alpha=90.00 beta=90.00 gamma=90.00
Space group P-42_1c (No. 114)
Unique sites:
Ag  0.0000  0.5000  0.0085
H  0.0576  0.7909  0.3613
H  0.0965  0.7997  0.6264
H  0.2137  0.7300  0.9598
S  0.0000  0.0000  0.0000
N  0.1086  0.7306  0.4897
O  0.0664  0.1317  0.1371

Principal peaks in the range 2θ = 10–80°, most intense first:
- (2 0 0), 21.47 deg, intensity 100
- (1 1 0), 15.14 deg, intensity 75
- (1 1 2), 32.58 deg, intensity 47
- (2 0 2), 36.10 deg, intensity 44
- (3 1 0), 34.25 deg, intensity 40
- (2 2 0), 30.54 deg, intensity 39